Calculated X-ray diffraction stick pattern of MgZnPd2 for Cu Kα, from a structure optimized by DFT (GGA-PBE).
Peak positions follow from Bragg's law for the DFT cell and can differ from measured ones.

Structure:
Cell: 6.243 6.243 6.243 Å, 90.00 90.00 90.00°
Fractional coordinates of all 16 atoms:
Mg 0.000 0.000 0.000
Mg 0.000 0.500 0.500
Mg 0.500 0.000 0.500
Mg 0.500 0.500 0.000
Zn 0.000 0.000 0.500
Zn 0.000 0.500 0.000
Zn 0.500 0.000 0.000
Zn 0.500 0.500 0.500
Pd 0.250 0.250 0.250
Pd 0.250 0.250 0.750
Pd 0.250 0.750 0.250
Pd 0.250 0.750 0.750
Pd 0.750 0.250 0.250
Pd 0.750 0.250 0.750
Pd 0.750 0.750 0.250
Pd 0.750 0.750 0.750

Largest 8 diffraction maxima, sorted by position, 10 to 90 degrees two-theta:
2θ/deg  intensity  (hkl)
24.70  5  1 1 1
28.60  19  2 0 0
40.89  100  2 2 0
50.66  5  2 2 2
59.20  16  4 0 0
67.05  7  4 2 0
74.46  32  4 2 2
88.63  10  4 4 0